Structure and computed powder diffractogram of TbPr2VO6 (a DFT-relaxed cell (GGA+U, Alexandria); Cu Kα (weighted mean of Kα1 and Kα2)).
Intensities are scaled so that the largest is 100.

Lattice parameters (Å, degrees): 5.692 5.927 9.985 90.00 123.86 90.00
Fractional positions:
Tb (0.000, 0.000, 0.000)
Tb (0.000, 0.500, 0.500)
Pr (0.269, 0.057, 0.750)
Pr (0.269, 0.443, 0.250)
Pr (0.731, 0.557, 0.750)
Pr (0.731, 0.943, 0.250)
V (0.500, 0.000, 0.500)
V (0.500, 0.500, 0.000)
O (0.142, 0.048, 0.261)
O (0.142, 0.452, 0.761)
O (0.272, 0.689, 0.061)
O (0.272, 0.811, 0.561)
O (0.380, 0.211, 0.064)
O (0.380, 0.289, 0.564)
O (0.620, 0.711, 0.436)
O (0.620, 0.789, 0.936)
O (0.728, 0.189, 0.439)
O (0.728, 0.311, 0.939)
O (0.858, 0.548, 0.239)
O (0.858, 0.952, 0.739)

Top 10 peaks for 2θ = 10–90°, most intense first:
d = 2.933 Å, intensity 100, hkl 1 1 1; d = 2.901 Å, intensity 97, hkl 1 1 -3; d = 2.846 Å, intensity 44, hkl 2 0 -2; d = 2.963 Å, intensity 41, hkl 0 2 0; d = 2.052 Å, intensity 38, hkl 2 2 -2; d = 1.699 Å, intensity 32, hkl 0 2 4; d = 1.665 Å, intensity 32, hkl 3 1 -1; d = 2.073 Å, intensity 26, hkl 0 0 4; d = 1.647 Å, intensity 22, hkl 3 1 -5; d = 4.821 Å, intensity 17, hkl 0 1 1